No. 1
Starting from DFT lattice parameters and positions (GGA-PBE), the X-ray powder pattern of La2HfO5 was simulated for a wavelength of 1.5418 Å.
No peak broadening, texture or thermal motion is included.

Principal peaks in the range 10° ≤ 2θ ≤ 90°, in order of rising 2θ:
two_theta  d/Å  Rel. int.
14.74  6.009  35
22.29  3.989  84
28.15  3.170  100
30.75  2.908  64
32.87  2.725  70
38.46  2.340  24
42.77  2.114  26
50.03  1.823  45
51.99  1.759  36
58.83  1.570  32

Crystal structure
Lattice parameters (Å, degrees): 6.370 6.370 11.195 90.00 90.00 141.24
Positions (direct):
1 La 0.138 0.862 0.571
2 La 0.138 0.862 0.929
3 La 0.862 0.138 0.071
4 La 0.862 0.138 0.429
5 Hf 0.170 0.830 0.250
6 Hf 0.830 0.170 0.750
7 O 0.051 0.949 0.120
8 O 0.051 0.949 0.380
9 O 0.283 0.717 0.097
10 O 0.283 0.717 0.403
11 O 0.283 0.717 0.750
12 O 0.717 0.283 0.250
13 O 0.717 0.283 0.597
14 O 0.717 0.283 0.903
15 O 0.949 0.051 0.620
16 O 0.949 0.051 0.880

No. 2
Starting from DFT lattice parameters and positions (GGA-PBE), the X-ray powder pattern of La3YHf4O14 was simulated for a wavelength of 1.5418 Å.
No peak broadening, texture or thermal motion is included.

Principal peaks in the range 10° ≤ 2θ ≤ 90°, in order of rising 2θ:
two_theta  d/Å  Rel. int.
28.64  3.117  35
29.48  3.030  100
33.92  2.643  45
48.19  1.888  35
49.27  1.849  33
57.02  1.615  16
57.99  1.590  29
58.46  1.579  14
71.39  1.321  10
79.89  1.201  12

Crystal structure
Lattice parameters (Å, degrees): 7.556 7.556 7.556 58.61 58.61 58.61
Positions (direct):
1 La 0.000 0.500 0.500
2 La 0.500 0.000 0.500
3 La 0.500 0.500 0.000
4 Y 0.500 0.500 0.500
5 Hf 0.000 0.000 0.000
6 Hf 0.000 0.000 0.500
7 Hf 0.000 0.500 0.000
8 Hf 0.500 0.000 0.000
9 O 0.108 0.108 0.641
10 O 0.108 0.641 0.108
11 O 0.125 0.627 0.627
12 O 0.132 0.132 0.132
13 O 0.359 0.892 0.892
14 O 0.373 0.373 0.875
15 O 0.373 0.875 0.373
16 O 0.627 0.125 0.627
17 O 0.627 0.627 0.125
18 O 0.641 0.108 0.108
19 O 0.868 0.868 0.868
20 O 0.875 0.373 0.373
21 O 0.892 0.359 0.892
22 O 0.892 0.892 0.359

No. 3
Starting from DFT lattice parameters and positions (GGA-PBE), the X-ray powder pattern of La3HfSb5 was simulated for a wavelength of 1.5418 Å.
No peak broadening, texture or thermal motion is included.

Principal peaks in the range 10° ≤ 2θ ≤ 90°, in order of rising 2θ:
two_theta  d/Å  Rel. int.
10.59  8.355  13
31.59  2.832  63
32.14  2.785  79
33.61  2.667  100
41.44  2.179  13
47.19  1.926  30
51.71  1.768  15
57.61  1.600  11
58.24  1.584  15
67.51  1.387  19

Crystal structure
Lattice parameters (Å, degrees): 9.648 9.648 6.401 90.00 90.00 120.00
Positions (direct):
1 La 0.000 0.382 0.250
2 La 0.000 0.618 0.750
3 La 0.382 0.000 0.250
4 La 0.382 0.382 0.750
5 La 0.618 0.000 0.750
6 La 0.618 0.618 0.250
7 Hf 0.000 0.000 0.000
8 Hf 0.000 0.000 0.500
9 Sb 0.000 0.258 0.750
10 Sb 0.000 0.742 0.250
11 Sb 0.258 0.000 0.750
12 Sb 0.258 0.258 0.250
13 Sb 0.333 0.667 0.000
14 Sb 0.333 0.667 0.500
15 Sb 0.667 0.333 0.000
16 Sb 0.667 0.333 0.500
17 Sb 0.742 0.000 0.250
18 Sb 0.742 0.742 0.750

No. 4
Starting from DFT lattice parameters and positions (GGA-PBE), the X-ray powder pattern of Li8Hf3 was simulated for a wavelength of 1.5418 Å.
No peak broadening, texture or thermal motion is included.

Principal peaks in the range 10° ≤ 2θ ≤ 90°, in order of rising 2θ:
two_theta  d/Å  Rel. int.
11.80  7.497  17
16.72  5.301  83
20.52  4.329  98
23.74  3.749  29
35.94  2.499  100
39.88  2.261  17
43.52  2.079  32
50.17  1.818  28
51.73  1.767  18
53.26  1.720  33

Crystal structure
Lattice parameters (Å, degrees): 9.182 9.182 9.182 109.47 109.47 109.47
Positions (direct):
1 Li 0.000 0.000 0.500
2 Li 0.000 0.193 0.807
3 Li 0.000 0.500 0.000
4 Li 0.000 0.807 0.193
5 Li 0.193 0.000 0.807
6 Li 0.193 0.193 0.385
7 Li 0.193 0.385 0.193
8 Li 0.193 0.807 0.000
9 Li 0.385 0.193 0.193
10 Li 0.500 0.000 0.000
11 Li 0.500 0.500 0.500
12 Li 0.615 0.807 0.807
13 Li 0.807 0.000 0.193
14 Li 0.807 0.193 0.000
15 Li 0.807 0.615 0.807
16 Li 0.807 0.807 0.615
17 Hf 0.000 0.386 0.386
18 Hf 0.000 0.614 0.614
19 Hf 0.386 0.000 0.386
20 Hf 0.386 0.386 0.000
21 Hf 0.614 0.000 0.614
22 Hf 0.614 0.614 0.000

No. 5
Starting from DFT lattice parameters and positions (GGA-PBE), the X-ray powder pattern of Li2HfN2 was simulated for a wavelength of 1.5418 Å.
No peak broadening, texture or thermal motion is included.

Principal peaks in the range 10° ≤ 2θ ≤ 90°, in order of rising 2θ:
two_theta  d/Å  Rel. int.
16.18  5.478  100
31.69  2.823  49
32.70  2.739  14
35.78  2.510  91
46.18  1.966  50
56.45  1.630  17
59.13  1.562  20
60.37  1.533  21
66.78  1.401  12
68.66  1.367  14

Crystal structure
Lattice parameters (Å, degrees): 3.260 3.260 5.478 90.00 90.00 120.00
Positions (direct):
1 Li 0.333 0.667 0.118
2 Li 0.667 0.333 0.882
3 Hf 0.000 0.000 0.500
4 N 0.333 0.667 0.720
5 N 0.667 0.333 0.280

No. 6
Starting from DFT lattice parameters and positions (GGA-PBE), the X-ray powder pattern of Li8HfO6 was simulated for a wavelength of 1.5418 Å.
No peak broadening, texture or thermal motion is included.

Principal peaks in the range 10° ≤ 2θ ≤ 90°, in order of rising 2θ:
two_theta  d/Å  Rel. int.
16.25  5.456  35
17.90  4.957  90
24.26  3.669  100
31.26  2.862  32
35.42  2.534  20
36.25  2.478  18
37.64  2.390  29
39.96  2.256  27
45.96  1.975  19
51.58  1.772  26

Crystal structure
Lattice parameters (Å, degrees): 5.723 5.723 10.911 90.00 90.00 120.00
Positions (direct):
1 Li 0.000 0.322 0.000
2 Li 0.000 0.409 0.359
3 Li 0.000 0.591 0.859
4 Li 0.000 0.678 0.500
5 Li 0.322 0.000 0.000
6 Li 0.322 0.322 0.500
7 Li 0.333 0.667 0.139
8 Li 0.333 0.667 0.639
9 Li 0.409 0.000 0.359
10 Li 0.409 0.409 0.859
11 Li 0.591 0.000 0.859
12 Li 0.591 0.591 0.359
13 Li 0.667 0.333 0.139
14 Li 0.667 0.333 0.639
15 Li 0.678 0.000 0.500
16 Li 0.678 0.678 0.000
17 Hf 0.000 0.000 0.227
18 Hf 0.000 0.000 0.727
19 O 0.000 0.000 0.408
20 O 0.000 0.000 0.908
21 O 0.000 0.329 0.180
22 O 0.000 0.671 0.680
23 O 0.329 0.000 0.180
24 O 0.329 0.329 0.680
25 O 0.333 0.667 0.444
26 O 0.333 0.667 0.944
27 O 0.667 0.333 0.444
28 O 0.667 0.333 0.944
29 O 0.671 0.000 0.680
30 O 0.671 0.671 0.180

No. 7
Starting from DFT lattice parameters and positions (GGA-PBE), the X-ray powder pattern of Li4HfO4 was simulated for a wavelength of 1.5418 Å.
No peak broadening, texture or thermal motion is included.

Principal peaks in the range 10° ≤ 2θ ≤ 90°, in order of rising 2θ:
two_theta  d/Å  Rel. int.
15.98  5.546  43
21.20  4.190  100
21.56  4.122  39
27.59  3.233  41
27.90  3.198  21
32.30  2.771  43
35.28  2.544  37
37.60  2.392  40
47.48  1.915  21
57.61  1.600  23

Crystal structure
Lattice parameters (Å, degrees): 5.571 5.571 6.396 90.00 90.00 84.54
Positions (direct):
1 Li 0.097 0.620 0.750
2 Li 0.343 0.343 0.000
3 Li 0.343 0.343 0.500
4 Li 0.380 0.903 0.750
5 Li 0.620 0.097 0.250
6 Li 0.657 0.657 0.000
7 Li 0.657 0.657 0.500
8 Li 0.903 0.380 0.250
9 Hf 0.154 0.846 0.250
10 Hf 0.846 0.154 0.750
11 O 0.186 0.226 0.750
12 O 0.226 0.186 0.250
13 O 0.298 0.702 0.508
14 O 0.298 0.702 0.992
15 O 0.702 0.298 0.008
16 O 0.702 0.298 0.492
17 O 0.774 0.814 0.750
18 O 0.814 0.774 0.250

No. 8
Starting from DFT lattice parameters and positions (GGA-PBE), the X-ray powder pattern of Li8HfO6 was simulated for a wavelength of 1.5418 Å.
No peak broadening, texture or thermal motion is included.

Principal peaks in the range 10° ≤ 2θ ≤ 90°, in order of rising 2θ:
two_theta  d/Å  Rel. int.
17.12  5.179  42
19.44  4.565  100
21.84  4.069  78
29.64  3.014  31
34.43  2.605  23
36.93  2.434  54
38.13  2.360  16
48.21  1.888  33
52.01  1.758  15
57.92  1.592  15

Crystal structure
Lattice parameters (Å, degrees): 6.080 6.080 6.080 53.94 53.94 53.94
Positions (direct):
1 Li 0.005 0.734 0.397
2 Li 0.155 0.155 0.155
3 Li 0.266 0.603 0.995
4 Li 0.397 0.005 0.734
5 Li 0.603 0.995 0.266
6 Li 0.734 0.397 0.005
7 Li 0.845 0.845 0.845
8 Li 0.995 0.266 0.603
9 Hf 0.500 0.500 0.500
10 O 0.116 0.408 0.734
11 O 0.266 0.884 0.592
12 O 0.408 0.734 0.116
13 O 0.592 0.266 0.884
14 O 0.734 0.116 0.408
15 O 0.884 0.592 0.266